Na2TlSb2: simulated powder XRD pattern (Cu Kα (λ = 1.5418 Å)), based on a DFT-relaxed cell (GGA-PBE, Alexandria).

Principal peaks in the range 10 to 90 degrees two-theta, in order of rising 2θ:
h k l  d [Å]  two_theta  I/Imax
0 0 2  6.440  13.8  54
1 1 0  3.586  24.8  100
1 0 3  3.277  27.2  91
1 1 2  3.133  28.5  87
2 0 0  2.536  35.4  63
1 0 5  2.297  39.2  76
2 1 3  2.005  45.2  47
2 2 0  1.793  50.9  22
2 1 5  1.702  53.9  60
3 1 2  1.556  59.4  22

Structural model:
```
data_Na2TlSb2
_chemical_formula_sum 'Na4 Tl2 Sb4'
_cell_length_a 5.0711
_cell_length_b 5.0711
_cell_length_c 12.8800
_cell_angle_alpha 90.00
_cell_angle_beta 90.00
_cell_angle_gamma 90.00
_space_group_name_H-M_alt 'I 4/m m m'
_space_group_IT_number 139
_space_group_name_Hall '-I 4 2'
loop_
_atom_site_label
_atom_site_fract_x
_atom_site_fract_y
_atom_site_fract_z
_atom_site_occupancy
Na1 0.0000 0.5000 0.2500 1
Tl1 0.0000 0.0000 0.0000 1
Sb1 0.0000 0.0000 0.3946 1
```